The following is a simulated powder diffraction line list of SmSi2TcOs. It was derived from DFT lattice parameters and positions (PBE), using Cu Ka.
No peak broadening, texture or thermal motion is included.

Cell and atoms:
```
10
Lattice="4.184 0.000 0.000 0.000 4.184 0.000 0.000 0.000 9.950" Properties=species:S:1:pos:R:3 pbc="T T T"
Sm 0.000 0.000 0.000
Sm 2.092 2.092 4.975
Si 0.000 0.000 3.701
Si 0.000 0.000 6.249
Si 2.092 2.092 1.274
Si 2.092 2.092 8.676
Tc 0.000 2.092 2.487
Tc 2.092 0.000 7.462
Os 0.000 2.092 7.462
Os 2.092 0.000 2.487
```

Principal peaks in the range 15 to 90 degrees two-theta, by angle:
2θ 17.83, I 14.2, (0 0 2)
2θ 23.06, I 29.1, (1 0 1)
2θ 34.51, I 25.0, (1 0 3)
2θ 35.29, I 100.0, (1 1 2)
2θ 36.11, I 17.9, (0 0 4)
2θ 43.24, I 36.6, (2 0 0)
2θ 56.46, I 12.2, (2 1 3)
2θ 57.56, I 18.9, (2 0 4)
2θ 62.81, I 12.0, (2 2 0)
2θ 64.41, I 18.1, (1 1 6)
2θ 74.15, I 23.1, (3 1 2)
2θ 74.64, I 8.7, (2 2 4)